The following is a theoretical X-ray diffraction stick pattern of La2ScAs. It was derived from a GGA-PBE-relaxed structure, using copper Kα.

Most intense lines, 2θ from 5° to 70°, in order of rising 2θ:
h k l  2θ (°)  I/Imax
0 2 0  20.27  20
0 0 1  22.97  15
0 2 1  30.82  100
2 2 0  35.16  70
2 0 1  36.85  62
0 4 0  41.22  23
0 0 2  46.94  15
2 4 1  56.47  35
2 2 2  59.98  29
4 2 1  67.87  20

Lattice parameters (Å, degrees): 6.2814 8.7614 3.8716 90.00 90.00 90.00
Space group Cmmm (No. 65)
Unique sites:
La (0.2500, 0.2500, 0.0000) [4 per cell]
Sc (0.0000, 0.0000, 0.5000) [2 per cell]
As (0.0000, 0.5000, 0.5000) [2 per cell]